For WC6O6, a DFT-relaxed cell (GGA+U, the Materials Project) gives the simulated powder diffraction line list in this record (CuKα).
Kinematic intensities with the Lorentz-polarization factor, no thermal factor.

Cell and atoms:
```
data_WC6O6
_cell_length_a 12.1658
_cell_length_b 11.5831
_cell_length_c 6.5804
_cell_angle_alpha 90.00
_cell_angle_beta 90.00
_cell_angle_gamma 90.00
_space_group_name_H-M_alt 'P n m a'
_space_group_IT_number 62
loop_
_space_group_symop_operation_xyz
'x,y,z'
'-x,-y,-z'
'-x+1/2,-y,z+1/2'
'x+1/2,y,-z+1/2'
'x+1/2,-y+1/2,-z+1/2'
'-x+1/2,y+1/2,z+1/2'
'-x,y+1/2,-z'
'x,-y+1/2,z'
loop_
_atom_site_label
_atom_site_type_symbol
_atom_site_fract_x
_atom_site_fract_y
_atom_site_fract_z
W1 W 0.1273 0.2500 0.0624
C1 C 0.0254 0.1232 0.1853
C2 C 0.0327 0.2500 0.7986
C3 C 0.2222 0.2500 0.3258
C4 C 0.2274 0.1220 0.9380
O1 O 0.0193 0.7500 0.3493
O2 O 0.0322 0.5532 0.7474
O3 O 0.2176 0.5501 0.3694
O4 O 0.2254 0.7500 0.9735
```

Largest 10 diffraction maxima, in order of rising 2θ, 2θ from 15° to 90°:
- 15.30°, rel. 100.0, hkl 0 2 0
- 16.46°, rel. 90.3, hkl 2 1 0
- 17.13°, rel. 76.1, hkl 1 1 1
- 21.71°, rel. 38.4, hkl 1 2 1
- 26.95°, rel. 25.4, hkl 3 1 1
- 27.36°, rel. 30.4, hkl 2 3 0
- 30.14°, rel. 27.1, hkl 3 2 1
- 30.88°, rel. 18.0, hkl 0 4 0
- 33.29°, rel. 19.8, hkl 4 2 0
- 34.86°, rel. 23.2, hkl 3 3 1